# AcPrTc
Theoretical X-ray powder pattern, copper Kα. Input: a crystal structure in Alexandria, relaxed with GGA-PBE.

Atomic structure:
```
AcPrTc
1.0
0.0000 3.6595 8.8244
3.0757 0.0000 8.8244
3.0757 3.6595 0.0000
Ac Pr Tc
2 2 2
Direct
0.2500 0.2500 0.2500
0.7500 0.7500 0.7500
0.0884 0.0884 0.9116
0.9116 0.9116 0.0884
0.3487 0.6513 0.3487
0.6513 0.3487 0.6513
```

Largest 6 diffraction maxima, sorted by position, 2θ from 15° to 90°:
- 20.1 deg, I = 45
- 26.4 deg, I = 53
- 30.8 deg, I = 85
- 31.7 deg, I = 100
- 38.2 deg, I = 35
- 49.6 deg, I = 48

***

# DyMg11Ni
Theoretical X-ray powder pattern, copper Kα. Input: a crystal structure in Alexandria, relaxed with GGA-PBE.

Atomic structure:
```
DyMg11Ni
1.0
2.8001 -7.1783 0.0000
2.8001 7.1783 0.0000
-2.6444 0.0000 7.1170
Dy Mg Ni
1 11 1
Direct
0.0000 0.0000 0.0000
0.0000 0.0000 0.5000
0.0000 0.5000 0.0000
0.0228 0.3578 0.3611
0.3055 0.5075 0.7807
0.3578 0.0228 0.3611
0.4925 0.6945 0.2193
0.5000 0.0000 0.0000
0.5075 0.3055 0.7807
0.6422 0.9772 0.6389
0.6945 0.4925 0.2193
0.9772 0.6422 0.6389
0.5000 0.5000 0.5000
```

Largest 6 diffraction maxima, sorted by position, 2θ from 15° to 90°:
- 18.2 deg, I = 67
- 25.1 deg, I = 60
- 30.8 deg, I = 56
- 35.6 deg, I = 100
- 36.4 deg, I = 55
- 36.9 deg, I = 46

***

# BaGe3F12
Theoretical X-ray powder pattern, copper Kα. Input: a crystal structure in Alexandria, relaxed with GGA-PBE.

Atomic structure:
```
BaGe3F12
1.0
8.8757 0.0000 0.0000
-4.4378 7.6866 0.0000
0.0000 0.0000 7.4444
Ba Ge F
2 6 24
Direct
0.3333 0.6667 0.2500
0.6667 0.3333 0.7500
0.1067 0.3009 0.7500
0.1942 0.8933 0.7500
0.3009 0.1942 0.2500
0.6991 0.8058 0.7500
0.8058 0.1067 0.2500
0.8933 0.6991 0.2500
0.0082 0.5767 0.2500
0.0687 0.1912 0.2500
0.1224 0.9313 0.2500
0.1815 0.7657 0.5567
0.1815 0.7657 0.9433
0.1912 0.1224 0.7500
0.2343 0.4158 0.5567
0.2343 0.4158 0.9433
0.4158 0.1815 0.0567
0.4158 0.1815 0.4433
0.4233 0.4316 0.2500
0.4316 0.0082 0.7500
0.5684 0.9918 0.2500
0.5767 0.5684 0.7500
0.5842 0.8185 0.5567
0.5842 0.8185 0.9433
0.7657 0.5842 0.0567
0.7657 0.5842 0.4433
0.8088 0.8776 0.2500
0.8185 0.2343 0.0567
0.8185 0.2343 0.4433
0.8776 0.0687 0.7500
0.9313 0.8088 0.7500
0.9918 0.4233 0.7500
```

Largest 6 diffraction maxima, sorted by position, 2θ from 15° to 90°:
- 23.1 deg, I = 24
- 23.9 deg, I = 39
- 26.1 deg, I = 100
- 39.3 deg, I = 26
- 40.7 deg, I = 17
- 48.9 deg, I = 25

***

# CrFe4
Theoretical X-ray powder pattern, copper Kα. Input: a crystal structure in Alexandria, relaxed with GGA-PBE.

Atomic structure:
```
CrFe4
1.0
0.0000 1.9793 10.0486
1.4374 0.0000 10.0486
1.4374 1.9793 0.0000
Cr Fe
1 4
Direct
0.0000 0.0000 0.0000
0.1995 0.1995 0.8005
0.4007 0.4007 0.5993
0.5993 0.5993 0.4007
0.8005 0.8005 0.1995
```

Largest 6 diffraction maxima, sorted by position, 2θ from 15° to 90°:
- 45.0 deg, I = 100
- 45.8 deg, I = 19
- 64.9 deg, I = 6
- 66.3 deg, I = 11
- 83.2 deg, I = 11
- 84.3 deg, I = 11